Computed powder diffractogram of Sm2AlSi2Rh5 for λ = 1.5418 Å (Cu Kα), from a cell relaxed with PBE.
Neutral-atom scattering factors, no anomalous dispersion.

Structure:
Lattice parameters (Å, degrees): 9.8447 9.8447 3.4600 90.00 90.00 90.00
Fractional positions:
1 Sm 0.1755 0.3245 0.0000
2 Sm 0.3245 0.8245 0.0000
3 Sm 0.6755 0.1755 0.0000
4 Sm 0.8245 0.6755 0.0000
5 Al 0.0000 0.0000 0.0000
6 Al 0.5000 0.5000 0.0000
7 Si 0.1232 0.6232 0.0000
8 Si 0.3768 0.1232 0.0000
9 Si 0.6232 0.8768 0.0000
10 Si 0.8768 0.3768 0.0000
11 Rh 0.0000 0.5000 0.5000
12 Rh 0.0671 0.7877 0.5000
13 Rh 0.2123 0.0671 0.5000
14 Rh 0.2877 0.5671 0.5000
15 Rh 0.4329 0.2877 0.5000
16 Rh 0.5000 0.0000 0.5000
17 Rh 0.5671 0.7123 0.5000
18 Rh 0.7123 0.4329 0.5000
19 Rh 0.7877 0.9329 0.5000
20 Rh 0.9329 0.2123 0.5000

Peak list (6 most intense, 15° ≤ 2θ ≤ 90°, in order of rising 2θ)
32.92°, I = 81; 37.67°, I = 95; 38.81°, I = 35; 38.92°, I = 100; 42.16°, I = 42; 66.77°, I = 35

***

Computed powder diffractogram of LiB2SbO5 for λ = 1.5418 Å (Cu Kα), from a cell relaxed with PBE.
Neutral-atom scattering factors, no anomalous dispersion.

Structure:
Lattice parameters (Å, degrees): 7.3027 7.3027 9.9738 105.46 105.46 102.72
Fractional positions:
1 Li 0.1045 0.8955 0.7500
2 Li 0.3367 0.6633 0.2500
3 Li 0.6633 0.3367 0.7500
4 Li 0.8955 0.1045 0.2500
5 B 0.2002 0.2819 0.9107
6 B 0.2122 0.6452 0.9793
7 B 0.2819 0.2002 0.4107
8 B 0.3548 0.7878 0.5207
9 B 0.6452 0.2122 0.4793
10 B 0.7181 0.7998 0.5893
11 B 0.7878 0.3548 0.0207
12 B 0.7998 0.7181 0.0893
13 Sb 0.1028 0.4128 0.6385
14 Sb 0.4128 0.1028 0.1385
15 Sb 0.5872 0.8972 0.8615
16 Sb 0.8972 0.5872 0.3615
17 O 0.1181 0.1924 0.4512
18 O 0.1319 0.6479 0.8423
19 O 0.1876 0.2563 0.7653
20 O 0.1886 0.7097 0.3903
21 O 0.1924 0.1181 0.9512
22 O 0.2306 0.4713 0.0135
23 O 0.2563 0.1876 0.2653
24 O 0.2903 0.8114 0.1097
25 O 0.3521 0.8681 0.6577
26 O 0.4713 0.2306 0.5135
27 O 0.5287 0.7694 0.4865
28 O 0.6479 0.1319 0.3423
29 O 0.7097 0.1886 0.8903
30 O 0.7437 0.8124 0.7347
31 O 0.7694 0.5287 0.9865
32 O 0.8076 0.8819 0.0488
33 O 0.8114 0.2903 0.6097
34 O 0.8124 0.7437 0.2347
35 O 0.8681 0.3521 0.1577
36 O 0.8819 0.8076 0.5488

Peak list (6 most intense, 15° ≤ 2θ ≤ 90°, in order of rising 2θ)
18.40°, I = 100; 21.55°, I = 76; 25.01°, I = 85; 28.02°, I = 40; 29.64°, I = 60; 35.45°, I = 53

***

What did the first record say?
Computed powder diffractogram of Sm2AlSi2Rh5 for λ = 1.5418 Å (Cu Kα), from a cell relaxed with PBE.
Neutral-atom scattering factors, no anomalous dispersion.

Structure:
Lattice parameters (Å, degrees): 9.8447 9.8447 3.4600 90.00 90.00 90.00
Fractional positions:
1 Sm 0.1755 0.3245 0.0000
2 Sm 0.3245 0.8245 0.0000
3 Sm 0.6755 0.1755 0.0000
4 Sm 0.8245 0.6755 0.0000
5 Al 0.0000 0.0000 0.0000
6 Al 0.5000 0.5000 0.0000
7 Si 0.1232 0.6232 0.0000
8 Si 0.3768 0.1232 0.0000
9 Si 0.6232 0.8768 0.0000
10 Si 0.8768 0.3768 0.0000
11 Rh 0.0000 0.5000 0.5000
12 Rh 0.0671 0.7877 0.5000
13 Rh 0.2123 0.0671 0.5000
14 Rh 0.2877 0.5671 0.5000
15 Rh 0.4329 0.2877 0.5000
16 Rh 0.5000 0.0000 0.5000
17 Rh 0.5671 0.7123 0.5000
18 Rh 0.7123 0.4329 0.5000
19 Rh 0.7877 0.9329 0.5000
20 Rh 0.9329 0.2123 0.5000

Peak list (6 most intense, 15° ≤ 2θ ≤ 90°, in order of rising 2θ)
32.92°, I = 81; 37.67°, I = 95; 38.81°, I = 35; 38.92°, I = 100; 42.16°, I = 42; 66.77°, I = 35